(1)
Diffraction record for Na12NbO7. The PXRD pattern is simulated, not measured: it uses a structure optimized by DFT (PBE) and λ = 1.5418 Å (Cu Kα).
Peak positions follow from Bragg's law for the DFT cell and can differ from measured ones.

Structural model:
abc: 7.519 7.519 7.519
angles: 106.13 106.13 106.13
Positions (direct):
1 Na 0.070 0.132 0.334
2 Na 0.132 0.334 0.070
3 Na 0.177 0.569 0.705
4 Na 0.295 0.823 0.431
5 Na 0.334 0.070 0.132
6 Na 0.431 0.295 0.823
7 Na 0.569 0.705 0.177
8 Na 0.666 0.930 0.868
9 Na 0.705 0.177 0.569
10 Na 0.823 0.431 0.295
11 Na 0.868 0.666 0.930
12 Na 0.930 0.868 0.666
13 Nb 0.500 0.500 0.500
14 O 0.000 0.000 0.000
15 O 0.206 0.482 0.405
16 O 0.405 0.206 0.482
17 O 0.482 0.405 0.206
18 O 0.518 0.595 0.794
19 O 0.595 0.794 0.518
20 O 0.794 0.518 0.595

Top 8 peaks for 15° ≤ 2θ ≤ 90°, by angle:
| 2theta | d (Å) | I/Imax |
| --- | --- | --- |
| 24.85 | 3.583 | 96 |
| 30.90 | 2.894 | 187 |
| 32.69 | 2.739 | 449 |
| 37.41 | 2.404 | 1000 |
| 52.77 | 1.735 | 325 |
| 55.10 | 1.667 | 254 |
| 64.52 | 1.444 | 143 |
| 68.50 | 1.370 | 104 |

(2)
Diffraction record for Na11TiNb2Si4P2O26. The PXRD pattern is simulated, not measured: it uses a structure optimized by DFT (PBE) and λ = 1.5418 Å (Cu Kα).
Peak positions follow from Bragg's law for the DFT cell and can differ from measured ones.

Structural model:
abc: 5.579 7.249 14.710
angles: 92.53 95.58 90.64
Positions (direct):
1 Na 0.000 0.000 0.000
2 Na 0.010 0.523 0.967
3 Na 0.196 0.012 0.365
4 Na 0.377 0.491 0.764
5 Na 0.388 0.014 0.732
6 Na 0.437 0.243 0.942
7 Na 0.488 0.518 0.132
8 Na 0.688 0.763 0.362
9 Na 0.707 0.271 0.364
10 Na 0.898 0.499 0.605
11 Na 0.948 0.774 0.791
12 Ti 0.224 0.510 0.357
13 Nb 0.495 0.001 0.149
14 Nb 0.893 0.018 0.582
15 Si 0.014 0.289 0.168
16 Si 0.379 0.728 0.560
17 Si 0.389 0.305 0.551
18 Si 0.994 0.713 0.182
19 P 0.505 0.762 0.933
20 P 0.881 0.251 0.800
21 O 0.020 0.232 0.896
22 O 0.032 0.705 0.292
23 O 0.042 0.297 0.279
24 O 0.146 0.813 0.608
25 O 0.176 0.198 0.596
26 O 0.208 0.826 0.140
27 O 0.248 0.208 0.119
28 O 0.347 0.309 0.441
29 O 0.365 0.721 0.450
30 O 0.366 0.781 0.837
31 O 0.405 0.517 0.601
32 O 0.426 0.580 0.975
33 O 0.445 0.937 0.996
34 O 0.467 0.512 0.291
35 O 0.517 0.025 0.272
36 O 0.605 0.251 0.808
37 O 0.629 0.834 0.607
38 O 0.650 0.218 0.584
39 O 0.732 0.796 0.148
40 O 0.765 0.182 0.123
41 O 0.780 0.764 0.925
42 O 0.876 0.997 0.459
43 O 0.940 0.078 0.736
44 O 0.960 0.436 0.759
45 O 0.960 0.487 0.450
46 O 0.989 0.503 0.130

Top 8 peaks for 15° ≤ 2θ ≤ 90°, by angle:
| 2theta | d (Å) | I/Imax |
| --- | --- | --- |
| 16.84 | 5.266 | 568 |
| 17.63 | 5.031 | 483 |
| 20.59 | 4.314 | 1000 |
| 30.56 | 2.925 | 914 |
| 31.93 | 2.803 | 840 |
| 32.24 | 2.777 | 822 |
| 33.19 | 2.699 | 705 |
| 50.42 | 1.810 | 434 |

(3)
Diffraction record for NaNb4Tl3P2O17. The PXRD pattern is simulated, not measured: it uses a structure optimized by DFT (PBE) and λ = 1.5418 Å (Cu Kα).
Peak positions follow from Bragg's law for the DFT cell and can differ from measured ones.

Structural model:
abc: 7.488 11.951 11.951
angles: 129.87 90.00 90.00
Positions (direct):
1 Na 0.000 0.000 0.000
2 Na 0.500 0.000 0.000
3 Nb 0.000 0.369 0.369
4 Nb 0.000 0.405 0.713
5 Nb 0.000 0.713 0.405
6 Nb 0.250 0.515 0.041
7 Nb 0.500 0.369 0.369
8 Nb 0.500 0.405 0.713
9 Nb 0.500 0.713 0.405
10 Nb 0.750 0.041 0.515
11 Tl 0.250 0.054 0.329
12 Tl 0.250 0.078 0.688
13 Tl 0.250 0.733 0.675
14 Tl 0.750 0.329 0.054
15 Tl 0.750 0.675 0.733
16 Tl 0.750 0.688 0.078
17 P 0.250 0.231 0.056
18 P 0.250 0.717 0.946
19 P 0.750 0.056 0.231
20 P 0.750 0.946 0.717
21 O 0.041 0.558 0.428
22 O 0.063 0.441 0.897
23 O 0.068 0.604 0.208
24 O 0.076 0.268 0.146
25 O 0.079 0.638 0.850
26 O 0.250 0.070 0.919
27 O 0.250 0.313 0.369
28 O 0.250 0.327 0.009
29 O 0.250 0.358 0.652
30 O 0.250 0.703 0.069
31 O 0.250 0.783 0.482
32 O 0.250 0.878 0.017
33 O 0.421 0.638 0.850
34 O 0.424 0.268 0.146
35 O 0.432 0.604 0.208
36 O 0.437 0.441 0.897
37 O 0.459 0.558 0.428
38 O 0.541 0.428 0.558
39 O 0.563 0.897 0.441
40 O 0.568 0.208 0.604
41 O 0.576 0.146 0.268
42 O 0.579 0.850 0.638
43 O 0.750 0.009 0.327
44 O 0.750 0.017 0.878
45 O 0.750 0.069 0.703
46 O 0.750 0.369 0.313
47 O 0.750 0.482 0.783
48 O 0.750 0.652 0.358
49 O 0.750 0.919 0.070
50 O 0.921 0.850 0.638
51 O 0.924 0.146 0.268
52 O 0.932 0.208 0.604
53 O 0.937 0.897 0.441
54 O 0.959 0.428 0.558

Top 8 peaks for 15° ≤ 2θ ≤ 90°, by angle:
| 2theta | d (Å) | I/Imax |
| --- | --- | --- |
| 26.89 | 3.315 | 562 |
| 27.44 | 3.251 | 667 |
| 28.26 | 3.158 | 930 |
| 29.21 | 3.057 | 1000 |
| 29.68 | 3.010 | 421 |
| 30.83 | 2.900 | 430 |
| 32.80 | 2.731 | 530 |
| 57.76 | 1.596 | 383 |

(4)
Diffraction record for Na3PrTi2Nb2O12. The PXRD pattern is simulated, not measured: it uses a structure optimized by DFT (PBE) and λ = 1.5418 Å (Cu Kα).
Peak positions follow from Bragg's law for the DFT cell and can differ from measured ones.

Structural model:
abc: 5.539 5.609 7.843
angles: 90.00 90.09 90.55
Positions (direct):
1 Na 0.000 0.000 0.000
2 Na 0.001 0.964 0.497
3 Na 0.516 0.471 0.502
4 Pr 0.517 0.506 0.000
5 Ti 0.013 0.483 0.757
6 Ti 0.497 0.984 0.248
7 Nb 0.011 0.475 0.262
8 Nb 0.501 0.981 0.737
9 O 0.084 0.432 0.996
10 O 0.224 0.168 0.714
11 O 0.230 0.165 0.280
12 O 0.307 0.657 0.732
13 O 0.312 0.660 0.269
14 O 0.450 0.943 0.002
15 O 0.577 0.953 0.496
16 O 0.722 0.240 0.214
17 O 0.723 0.245 0.786
18 O 0.796 0.729 0.204
19 O 0.797 0.727 0.795
20 O 0.955 0.476 0.503

Top 8 peaks for 15° ≤ 2θ ≤ 90°, by angle:
| 2theta | d (Å) | I/Imax |
| --- | --- | --- |
| 19.46 | 4.562 | 298 |
| 19.62 | 4.524 | 278 |
| 31.91 | 2.804 | 382 |
| 32.12 | 2.786 | 707 |
| 32.30 | 2.772 | 1000 |
| 45.83 | 1.980 | 251 |
| 46.30 | 1.961 | 519 |
| 57.36 | 1.606 | 240 |

(5)
Diffraction record for RbNaNb2O6. The PXRD pattern is simulated, not measured: it uses a structure optimized by DFT (PBE) and λ = 1.5418 Å (Cu Kα).
Peak positions follow from Bragg's law for the DFT cell and can differ from measured ones.

Structural model:
abc: 8.019 8.019 6.745
angles: 104.19 104.19 99.90
Positions (direct):
1 Rb 0.109 0.891 0.750
2 Rb 0.891 0.109 0.250
3 Na 0.205 0.795 0.250
4 Na 0.795 0.205 0.750
5 Nb 0.277 0.422 0.821
6 Nb 0.422 0.277 0.321
7 Nb 0.578 0.723 0.679
8 Nb 0.723 0.578 0.179
9 O 0.081 0.237 0.709
10 O 0.195 0.612 0.922
11 O 0.237 0.081 0.209
12 O 0.358 0.423 0.561
13 O 0.388 0.805 0.578
14 O 0.423 0.358 0.061
15 O 0.577 0.642 0.939
16 O 0.612 0.195 0.422
17 O 0.642 0.577 0.439
18 O 0.763 0.919 0.791
19 O 0.805 0.388 0.078
20 O 0.919 0.763 0.291

Top 8 peaks for 15° ≤ 2θ ≤ 90°, by angle:
| 2theta | d (Å) | I/Imax |
| --- | --- | --- |
| 20.30 | 4.375 | 363 |
| 21.05 | 4.221 | 418 |
| 23.64 | 3.764 | 1000 |
| 25.76 | 3.459 | 314 |
| 28.63 | 3.118 | 305 |
| 29.01 | 3.078 | 690 |
| 29.52 | 3.026 | 501 |
| 32.49 | 2.756 | 423 |

(6)
Diffraction record for Na2NbRuO6. The PXRD pattern is simulated, not measured: it uses a structure optimized by DFT (PBE) and λ = 1.5418 Å (Cu Kα).
Peak positions follow from Bragg's law for the DFT cell and can differ from measured ones.

Structural model:
abc: 5.577 5.577 3.919
angles: 90.00 90.00 90.00
Positions (direct):
1 Na 0.000 0.500 0.000
2 Na 0.500 0.000 0.000
3 Nb 0.000 0.000 0.500
4 Ru 0.500 0.500 0.500
5 O 0.000 0.000 0.000
6 O 0.253 0.253 0.500
7 O 0.253 0.747 0.500
8 O 0.500 0.500 0.000
9 O 0.747 0.253 0.500
10 O 0.747 0.747 0.500

Top 8 peaks for 15° ≤ 2θ ≤ 90°, by angle:
| 2theta | d (Å) | I/Imax |
| --- | --- | --- |
| 22.55 | 3.943 | 948 |
| 22.69 | 3.919 | 467 |
| 32.10 | 2.788 | 504 |
| 32.20 | 2.780 | 1000 |
| 46.03 | 1.972 | 453 |
| 51.88 | 1.762 | 357 |
| 57.29 | 1.608 | 387 |
| 67.37 | 1.390 | 252 |

(7)
Diffraction record for NaSrNbSnO6. The PXRD pattern is simulated, not measured: it uses a structure optimized by DFT (PBE) and λ = 1.5418 Å (Cu Kα).
Peak positions follow from Bragg's law for the DFT cell and can differ from measured ones.

Structural model:
abc: 5.743 5.743 5.743
angles: 60.00 60.00 60.00
Positions (direct):
1 Na 0.000 0.000 0.000
2 Sr 0.500 0.500 0.500
3 Nb 0.750 0.750 0.750
4 Sn 0.250 0.250 0.250
5 O 0.504 0.504 0.996
6 O 0.504 0.996 0.504
7 O 0.504 0.996 0.996
8 O 0.996 0.504 0.504
9 O 0.996 0.504 0.996
10 O 0.996 0.996 0.504

Top 8 peaks for 15° ≤ 2θ ≤ 90°, by angle:
| 2theta | d (Å) | I/Imax |
| --- | --- | --- |
| 18.92 | 4.689 | 116 |
| 21.89 | 4.061 | 273 |
| 31.15 | 2.872 | 1000 |
| 44.63 | 2.031 | 375 |
| 50.24 | 1.816 | 110 |
| 55.42 | 1.658 | 404 |
| 64.95 | 1.436 | 225 |
| 73.78 | 1.284 | 178 |

(8)
Diffraction record for NaSrNb2O7. The PXRD pattern is simulated, not measured: it uses a structure optimized by DFT (PBE) and λ = 1.5418 Å (Cu Kα).
Peak positions follow from Bragg's law for the DFT cell and can differ from measured ones.

Structural model:
abc: 11.127 11.127 11.127
angles: 159.45 159.45 29.22
Positions (direct):
1 Na 0.000 0.000 0.000
2 Sr 0.250 0.750 0.500
3 Nb 0.643 0.143 0.500
4 Nb 0.857 0.357 0.500
5 O 0.161 0.161 0.000
6 O 0.337 0.337 0.000
7 O 0.559 0.059 0.500
8 O 0.663 0.663 0.000
9 O 0.750 0.250 0.500
10 O 0.839 0.839 0.000
11 O 0.941 0.441 0.500

Top 8 peaks for 15° ≤ 2θ ≤ 90°, by angle:
| 2theta | d (Å) | I/Imax |
| --- | --- | --- |
| 22.78 | 3.903 | 371 |
| 25.65 | 3.473 | 1000 |
| 30.63 | 2.919 | 940 |
| 31.89 | 2.807 | 466 |
| 45.72 | 1.985 | 499 |
| 53.15 | 1.723 | 251 |
| 53.65 | 1.708 | 294 |
| 56.04 | 1.641 | 356 |

Copy entry 6 word for word.
Diffraction record for Na2NbRuO6. The PXRD pattern is simulated, not measured: it uses a structure optimized by DFT (PBE) and λ = 1.5418 Å (Cu Kα).
Peak positions follow from Bragg's law for the DFT cell and can differ from measured ones.

Structural model:
abc: 5.577 5.577 3.919
angles: 90.00 90.00 90.00
Positions (direct):
1 Na 0.000 0.500 0.000
2 Na 0.500 0.000 0.000
3 Nb 0.000 0.000 0.500
4 Ru 0.500 0.500 0.500
5 O 0.000 0.000 0.000
6 O 0.253 0.253 0.500
7 O 0.253 0.747 0.500
8 O 0.500 0.500 0.000
9 O 0.747 0.253 0.500
10 O 0.747 0.747 0.500

Top 8 peaks for 15° ≤ 2θ ≤ 90°, by angle:
| 2theta | d (Å) | I/Imax |
| --- | --- | --- |
| 22.55 | 3.943 | 948 |
| 22.69 | 3.919 | 467 |
| 32.10 | 2.788 | 504 |
| 32.20 | 2.780 | 1000 |
| 46.03 | 1.972 | 453 |
| 51.88 | 1.762 | 357 |
| 57.29 | 1.608 | 387 |
| 67.37 | 1.390 | 252 |